(1)
Calculated X-ray powder pattern
Compound: Ac3Pm13
Radiation: Cu Ka
Structure: a cell relaxed with PBE
No peak broadening, texture or thermal motion is included.

Largest 10 diffraction maxima, low angle first, 15° ≤ 2θ ≤ 90°:
2θ/deg	Rel. int.
27.48	24
29.79	25
31.33	100
40.97	16
48.58	20
53.86	22
58.03	23
58.95	17
79.75	9
82.37	8

abc: 7.504 8.834 8.834
angles: 85.52 90.00 90.00
Positions (direct):
Ac: 0.000 0.000 0.000
Ac: 0.252 0.743 0.743
Ac: 0.748 0.743 0.743
Pm: 0.000 0.413 0.916
Pm: 0.000 0.491 0.491
Pm: 0.000 0.916 0.413
Pm: 0.251 0.249 0.249
Pm: 0.253 0.167 0.659
Pm: 0.253 0.659 0.167
Pm: 0.500 0.000 0.000
Pm: 0.500 0.406 0.918
Pm: 0.500 0.492 0.492
Pm: 0.500 0.918 0.406
Pm: 0.747 0.167 0.659
Pm: 0.747 0.659 0.167
Pm: 0.749 0.249 0.249

=====

(2)
Calculated X-ray powder pattern
Compound: K2HfI2Br4
Radiation: Cu Ka
Structure: a cell relaxed with PBE
No peak broadening, texture or thermal motion is included.

Largest 10 diffraction maxima, low angle first, 15° ≤ 2θ ≤ 90°:
2θ/deg	Rel. int.
16.27	89
27.81	100
30.86	56
32.89	94
35.08	27
36.90	23
45.72	73
47.21	38
55.67	25
57.46	36

abc: 7.953 7.953 7.953
angles: 122.07 122.07 86.44
Positions (direct):
K: 0.250 0.750 0.500
K: 0.750 0.250 0.500
Hf: 0.000 0.000 0.000
I: 0.249 0.249 0.000
I: 0.751 0.751 0.000
Br: 0.239 0.239 0.479
Br: 0.239 0.761 0.000
Br: 0.761 0.239 0.000
Br: 0.761 0.761 0.521

=====

(3)
Calculated X-ray powder pattern
Compound: La6Tl2Ru
Radiation: Cu Ka
Structure: a cell relaxed with PBE
No peak broadening, texture or thermal motion is included.

Largest 10 diffraction maxima, low angle first, 15° ≤ 2θ ≤ 90°:
2θ/deg	Rel. int.
29.83	100
30.18	69
31.99	82
34.34	50
37.81	52
45.39	22
55.48	25
56.10	35
58.13	22
58.74	25

abc: 3.996 9.049 9.049
angles: 120.04 90.00 90.00
Positions (direct):
La: 0.000 0.000 0.000
La: 0.000 0.533 0.767
La: 0.000 0.767 0.533
La: 0.500 0.165 0.767
La: 0.500 0.368 0.368
La: 0.500 0.767 0.165
Tl: 0.000 0.100 0.433
Tl: 0.000 0.433 0.100
Ru: 0.500 0.764 0.764

=====

(4)
Calculated X-ray powder pattern
Compound: Er5Sb2Te
Radiation: Cu Ka
Structure: a cell relaxed with PBE
No peak broadening, texture or thermal motion is included.

Largest 10 diffraction maxima, low angle first, 15° ≤ 2θ ≤ 90°:
2θ/deg	Rel. int.
24.49	46
29.71	91
31.37	44
32.96	100
35.05	32
38.87	27
39.64	26
40.35	24
46.60	28
54.82	24

abc: 6.931 6.931 13.412
angles: 90.00 90.00 128.58
Positions (direct):
Er: 0.053 0.947 0.612
Er: 0.053 0.947 0.888
Er: 0.350 0.650 0.250
Er: 0.378 0.622 0.560
Er: 0.378 0.622 0.940
Er: 0.622 0.378 0.060
Er: 0.622 0.378 0.440
Er: 0.650 0.350 0.750
Er: 0.947 0.053 0.112
Er: 0.947 0.053 0.388
Sb: 0.185 0.815 0.081
Sb: 0.185 0.815 0.419
Sb: 0.815 0.185 0.581
Sb: 0.815 0.185 0.919
Te: 0.242 0.758 0.750
Te: 0.758 0.242 0.250

=====

(5)
Calculated X-ray powder pattern
Compound: Ca3Ga3Au
Radiation: Cu Ka
Structure: a cell relaxed with PBE
No peak broadening, texture or thermal motion is included.

Largest 10 diffraction maxima, low angle first, 15° ≤ 2θ ≤ 90°:
2θ/deg	Rel. int.
16.14	59
21.60	37
25.46	28
30.89	56
31.75	28
33.19	20
35.79	24
38.52	100
40.11	43
62.70	20

abc: 5.937 5.937 14.861
angles: 108.51 108.51 44.50
Positions (direct):
Ca: 0.032 0.032 0.381
Ca: 0.109 0.109 0.924
Ca: 0.245 0.245 0.230
Ca: 0.755 0.755 0.770
Ca: 0.891 0.891 0.076
Ca: 0.968 0.968 0.619
Ga: 0.366 0.366 0.461
Ga: 0.398 0.398 0.922
Ga: 0.464 0.464 0.770
Ga: 0.536 0.536 0.230
Ga: 0.602 0.602 0.078
Ga: 0.634 0.634 0.539
Au: 0.254 0.254 0.609
Au: 0.746 0.746 0.391

=====

(6)
Calculated X-ray powder pattern
Compound: Sm3Ho5Mg
Radiation: Cu Ka
Structure: a cell relaxed with PBE
No peak broadening, texture or thermal motion is included.

Largest 10 diffraction maxima, low angle first, 15° ≤ 2θ ≤ 90°:
2θ/deg	Rel. int.
27.39	55
29.21	95
30.70	58
32.61	100
35.76	31
39.53	29
40.94	30
45.20	21
57.72	26
63.23	22

abc: 9.446 9.446 9.446
angles: 121.65 121.65 87.17
Positions (direct):
Sm: 0.114 0.614 0.729
Sm: 0.250 0.250 0.000
Sm: 0.386 0.114 0.500
Sm: 0.614 0.886 0.500
Sm: 0.750 0.750 0.000
Sm: 0.886 0.386 0.271
Ho: 0.000 0.000 0.000
Ho: 0.061 0.173 0.500
Ho: 0.173 0.673 0.112
Ho: 0.327 0.439 0.500
Ho: 0.439 0.939 0.112
Ho: 0.500 0.500 0.000
Ho: 0.561 0.061 0.888
Ho: 0.673 0.561 0.500
Ho: 0.827 0.327 0.888
Ho: 0.939 0.827 0.500
Mg: 0.250 0.750 0.500
Mg: 0.750 0.250 0.500

=====

(7)
Calculated X-ray powder pattern
Compound: Na2CuH6Pt
Radiation: Cu Ka
Structure: a cell relaxed with PBE
No peak broadening, texture or thermal motion is included.

Largest 10 diffraction maxima, low angle first, 15° ≤ 2θ ≤ 90°:
2θ/deg	Rel. int.
17.81	13
20.08	100
26.97	27
35.16	41
40.82	16
41.64	43
51.26	14
54.95	13
55.60	19
67.51	20

abc: 5.105 5.105 4.979
angles: 90.00 90.00 120.00
Positions (direct):
Na: 0.333 0.667 0.229
Na: 0.667 0.333 0.771
Cu: 0.000 0.000 0.500
H: 0.151 0.302 0.778
H: 0.151 0.849 0.778
H: 0.302 0.151 0.222
H: 0.698 0.849 0.778
H: 0.849 0.151 0.222
H: 0.849 0.698 0.222
Pt: 0.000 0.000 0.000

=====

(8)
Calculated X-ray powder pattern
Compound: GaRuPb
Radiation: Cu Ka
Structure: a cell relaxed with PBE
No peak broadening, texture or thermal motion is included.

Largest 10 diffraction maxima, low angle first, 15° ≤ 2θ ≤ 90°:
2θ/deg	Rel. int.
28.10	32
29.70	19
31.87	62
40.16	60
41.34	100
50.74	18
58.10	20
62.05	14
67.80	15
73.78	36

abc: 3.176 3.176 6.016
angles: 90.00 90.00 90.00
Positions (direct):
Ga: 0.000 0.000 0.000
Ru: 0.500 0.500 0.788
Pb: 0.000 0.000 0.478

=====

(9)
Calculated X-ray powder pattern
Compound: ScP2Au
Radiation: Cu Ka
Structure: a cell relaxed with PBE
No peak broadening, texture or thermal motion is included.

Largest 10 diffraction maxima, low angle first, 15° ≤ 2θ ≤ 90°:
2θ/deg	Rel. int.
15.93	52
23.58	42
25.77	50
28.59	48
30.45	70
32.19	23
38.87	100
40.29	56
48.44	32
68.60	23

abc: 3.457 3.773 5.562
angles: 90.00 90.00 90.00
Positions (direct):
Sc: 0.000 0.000 0.000
P: 0.500 0.500 0.199
P: 0.500 0.500 0.801
Au: 0.500 0.000 0.500

=====

(10)
Calculated X-ray powder pattern
Compound: Nd2Sm2Dy7
Radiation: Cu Ka
Structure: a cell relaxed with PBE
No peak broadening, texture or thermal motion is included.

Largest 10 diffraction maxima, low angle first, 15° ≤ 2θ ≤ 90°:
2θ/deg	Rel. int.
25.50	18
30.58	22
30.76	38
31.85	100
33.47	31
33.67	23
44.82	13
49.47	10
55.40	11
57.49	10

abc: 8.102 8.102 6.102
angles: 106.24 106.24 91.70
Positions (direct):
Nd: 0.095 0.095 0.309
Nd: 0.905 0.905 0.691
Sm: 0.287 0.713 0.000
Sm: 0.713 0.287 0.000
Dy: 0.089 0.564 0.324
Dy: 0.268 0.268 0.921
Dy: 0.436 0.911 0.676
Dy: 0.500 0.500 0.500
Dy: 0.564 0.089 0.324
Dy: 0.732 0.732 0.079
Dy: 0.911 0.436 0.676

=====

(11)
Calculated X-ray powder pattern
Compound: BaNiTe2N
Radiation: Cu Ka
Structure: a cell relaxed with PBE
No peak broadening, texture or thermal motion is included.

Largest 10 diffraction maxima, low angle first, 15° ≤ 2θ ≤ 90°:
2θ/deg	Rel. int.
29.26	35
30.43	100
33.08	81
39.73	13
42.73	25
43.58	37
55.78	36
60.69	27
69.41	18
71.88	16

abc: 5.874 5.874 3.572
angles: 90.00 90.00 90.00
Positions (direct):
Ba: 0.000 0.000 0.000
Ni: 0.500 0.500 0.500
Te: 0.000 0.500 0.500
Te: 0.500 0.000 0.500
N: 0.500 0.500 0.000

=====

(12)
Calculated X-ray powder pattern
Compound: RbLiPa2Se5
Radiation: Cu Ka
Structure: a cell relaxed with PBE
No peak broadening, texture or thermal motion is included.

Largest 10 diffraction maxima, low angle first, 15° ≤ 2θ ≤ 90°:
2θ/deg	Rel. int.
25.32	13
25.72	17
30.81	100
35.67	45
37.69	14
39.22	59
50.68	13
61.58	18
65.89	16
71.05	26

abc: 9.391 9.391 9.391
angles: 129.86 129.86 73.63
Positions (direct):
Rb: 0.250 0.250 0.000
Rb: 0.750 0.750 0.000
Li: 0.250 0.750 0.500
Li: 0.750 0.250 0.500
Pa: 0.158 0.658 0.817
Pa: 0.342 0.158 0.500
Pa: 0.658 0.842 0.500
Pa: 0.842 0.342 0.183
Se: 0.000 0.000 0.000
Se: 0.024 0.233 0.500
Se: 0.233 0.733 0.209
Se: 0.267 0.476 0.500
Se: 0.476 0.976 0.209
Se: 0.500 0.500 0.000
Se: 0.524 0.024 0.791
Se: 0.733 0.524 0.500
Se: 0.767 0.267 0.791
Se: 0.976 0.767 0.500

=====

(13)
Calculated X-ray powder pattern
Compound: Cs2TaNbO6
Radiation: Cu Ka
Structure: a cell relaxed with PBE
No peak broadening, texture or thermal motion is included.

Largest 10 diffraction maxima, low angle first, 15° ≤ 2θ ≤ 90°:
2θ/deg	Rel. int.
18.48	6
30.40	100
35.81	4
43.53	29
47.67	2
54.02	40
63.26	18
71.79	18
79.92	6
87.85	21

abc: 5.880 5.880 5.880
angles: 60.00 60.00 60.00
Positions (direct):
Cs: 0.250 0.250 0.250
Cs: 0.750 0.750 0.750
Ta: 0.000 0.000 0.000
Nb: 0.500 0.500 0.500
O: 0.249 0.249 0.751
O: 0.249 0.751 0.249
O: 0.249 0.751 0.751
O: 0.751 0.249 0.249
O: 0.751 0.249 0.751
O: 0.751 0.751 0.249